The following is a computed powder XRD pattern of H8AuC2S2N4Cl. It was derived from a crystal structure in the Materials Project, relaxed with GGA-PBE, using Cu Kα X-rays.
No peak broadening, texture or thermal motion is included.

Atomic structure:
```
data_H8AuC2S2N4Cl
_chemical_formula_sum 'H32 Au4 C8 S8 N16 Cl4'
_cell_length_a 9.1302
_cell_length_b 16.0014
_cell_length_c 7.6240
_cell_angle_alpha 90.00
_cell_angle_beta 109.76
_cell_angle_gamma 90.00
_symmetry_space_group_name_H-M 'C 1 2/c 1'
_symmetry_Int_Tables_number 15
loop_
_symmetry_equiv_pos_as_xyz
'x,y,z'
'-x,-y,-z'
'-x,y,-z+1/2'
'x,-y,z+1/2'
'x+1/2,y+1/2,z'
'-x+1/2,-y+1/2,-z'
'-x+1/2,y+1/2,-z+1/2'
'x+1/2,-y+1/2,z+1/2'
loop_
_atom_site_label
_atom_site_fract_x
_atom_site_fract_y
_atom_site_fract_z
_atom_site_occupancy
H1 0.0996 0.0773 0.0469 1
H2 0.1204 0.2192 0.0743 1
H3 0.1966 0.0113 0.2357 1
H4 0.2209 0.2377 0.7483 1
Au1 0.0000 0.5000 0.0000 1
C1 0.2480 0.3633 0.7289 1
S1 0.0981 0.3666 0.5167 1
N1 0.1755 0.0698 0.1808 1
N2 0.2092 0.2124 0.1983 1
Cl1 0.0000 0.1280 0.7500 1
```

Peak list (8 most intense, 5° ≤ 2θ ≤ 70°, sorted by position)
hkl	d_spacing	2θ/deg	I/Imax
0 2 0	8.001	11.06	47
1 1 0	7.570	11.69	100
1 3 0	4.532	19.59	29
2 2 0	3.785	23.50	26
1 1 -2	3.696	24.08	36
2 0 -2	3.371	26.44	19
0 2 2	3.273	27.24	17
1 1 2	2.924	30.58	31